No. 1
This entry pairs a crystal structure of Mg2FeSb with its simulated X-ray diffraction stick pattern. Radiation: Cu Kα, 1.54184 Å. Structure: DFT lattice parameters and positions (GGA-PBE).

Atomic structure:
abc: 4.104 4.104 8.889
angles: 90.00 90.00 90.00
Space group I4/mmm (No. 139)
Symmetry-distinct sites (fractional):
Mg1 0.000 0.500 0.250 (multiplicity 4)
Fe1 0.000 0.000 0.000 (multiplicity 2)
Sb1 0.000 0.000 0.500 (multiplicity 2)

The 6 most intense peaks (2θ from 15° to 90°), in order of rising 2θ:
- hkl 0 0 2, 19.98 deg, intensity 37
- hkl 1 0 1, 23.88 deg, intensity 22
- hkl 1 1 0, 30.81 deg, intensity 25
- hkl 1 1 2, 36.99 deg, intensity 100
- hkl 2 0 0, 44.13 deg, intensity 30
- hkl 3 1 2, 76.45 deg, intensity 22


No. 2
This entry pairs a crystal structure of MgFe2Se with its simulated X-ray diffraction stick pattern. Radiation: Cu Kα, 1.54184 Å. Structure: DFT lattice parameters and positions (GGA-PBE).

Atomic structure:
abc: 3.113 4.169 4.897
angles: 90.00 93.45 90.00
Space group P2/m (No. 10)
Symmetry-distinct sites (fractional):
Mg1 0.000 0.000 0.000 (multiplicity 1)
Fe1 0.419 0.500 0.756 (multiplicity 2)
Se1 0.500 0.000 0.500 (multiplicity 1)

The 6 most intense peaks (2θ from 15° to 90°), in order of rising 2θ:
- hkl 1 0 0, 28.73 deg, intensity 77
- hkl 1 0 1, 35.14 deg, intensity 45
- hkl 1 1 -1, 39.81 deg, intensity 70
- hkl 0 1 2, 42.89 deg, intensity 100
- hkl 0 2 0, 43.42 deg, intensity 48
- hkl 1 1 -2, 51.07 deg, intensity 27


No. 3
This entry pairs a crystal structure of Mg2FeSe with its simulated X-ray diffraction stick pattern. Radiation: Cu Kα, 1.54184 Å. Structure: DFT lattice parameters and positions (GGA-PBE).

Atomic structure:
abc: 3.408 3.426 6.006
angles: 90.00 90.00 90.00
Space group Pmmm (No. 47)
Symmetry-distinct sites (fractional):
Mg1 0.000 0.000 0.242 (multiplicity 2)
Fe1 0.500 0.500 0.000 (multiplicity 1)
Se1 0.500 0.500 0.500 (multiplicity 1)

The 6 most intense peaks (2θ from 15° to 90°), in order of rising 2θ:
- hkl 0 1 0, 26.01 deg, intensity 17
- hkl 1 0 0, 26.15 deg, intensity 17
- hkl 1 1 0, 37.21 deg, intensity 62
- hkl 1 0 2, 39.97 deg, intensity 100
- hkl 1 2 2, 68.85 deg, intensity 19
- hkl 2 1 2, 69.04 deg, intensity 18


No. 4
This entry pairs a crystal structure of Sm6MgFe2 with its simulated X-ray diffraction stick pattern. Radiation: Cu Kα, 1.54184 Å. Structure: DFT lattice parameters and positions (GGA-PBE).

Atomic structure:
abc: 9.701 9.915 10.255
angles: 90.00 90.00 90.00
Space group Immm (No. 71)
Symmetry-distinct sites (fractional):
Sm1 0.000 0.215 0.225 (multiplicity 8)
Sm2 0.202 0.500 0.191 (multiplicity 8)
Sm3 0.210 0.313 0.500 (multiplicity 8)
Mg1 0.000 0.000 0.000 (multiplicity 2)
Mg2 0.000 0.000 0.500 (multiplicity 2)
Fe1 0.000 0.388 0.000 (multiplicity 4)
Fe2 0.000 0.500 0.394 (multiplicity 4)

The 6 most intense peaks (2θ from 15° to 90°), in order of rising 2θ:
- hkl 0 1 3, 27.63 deg, intensity 18
- hkl 2 2 2, 31.14 deg, intensity 100
- hkl 2 1 3, 33.32 deg, intensity 32
- hkl 1 3 2, 33.56 deg, intensity 22
- hkl 2 3 1, 33.97 deg, intensity 32
- hkl 5 3 2, 57.98 deg, intensity 18


No. 5
This entry pairs a crystal structure of SrMgFeSn2 with its simulated X-ray diffraction stick pattern. Radiation: Cu Kα, 1.54184 Å. Structure: DFT lattice parameters and positions (GGA-PBE).

Atomic structure:
abc: 5.872 5.872 5.815
angles: 90.00 90.00 90.00
Space group P4/mmm (No. 123)
Symmetry-distinct sites (fractional):
Sr1 0.000 0.000 0.000 (multiplicity 1)
Mg1 0.000 0.000 0.500 (multiplicity 1)
Fe1 0.500 0.500 0.500 (multiplicity 1)
Sn1 0.000 0.500 0.000 (multiplicity 2)

The 6 most intense peaks (2θ from 15° to 90°), in order of rising 2θ:
- hkl 0 0 1, 15.24 deg, intensity 88
- hkl 1 1 1, 26.37 deg, intensity 95
- hkl 2 0 0, 30.44 deg, intensity 100
- hkl 0 0 2, 30.75 deg, intensity 49
- hkl 2 0 1, 34.21 deg, intensity 54
- hkl 2 0 2, 43.82 deg, intensity 74


No. 6
This entry pairs a crystal structure of SrMg14Fe with its simulated X-ray diffraction stick pattern. Radiation: Cu Kα, 1.54184 Å. Structure: DFT lattice parameters and positions (GGA-PBE).

Atomic structure:
abc: 6.4759 6.4759 10.3679
angles: 90.00 90.00 120.00
Space group P-6m2 (No. 187)
Symmetry-distinct sites (fractional):
Sr1 0.0000 0.0000 0.0000 (multiplicity 1)
Mg1 0.0146 0.5073 0.0000 (multiplicity 3)
Mg2 0.1635 0.3270 0.2733 (multiplicity 6)
Mg3 0.5053 0.0106 0.5000 (multiplicity 3)
Mg4 0.6667 0.3333 0.2375 (multiplicity 2)
Fe1 0.0000 0.0000 0.5000 (multiplicity 1)

The 6 most intense peaks (2θ from 15° to 90°), in order of rising 2θ:
- hkl 1 0 0, 15.80 deg, intensity 20
- hkl 2 0 0, 31.91 deg, intensity 27
- hkl 0 0 4, 34.61 deg, intensity 23
- hkl 2 0 2, 36.43 deg, intensity 100
- hkl 2 2 0, 56.87 deg, intensity 17
- hkl 2 2 4, 68.31 deg, intensity 17


No. 7
This entry pairs a crystal structure of MgTa2Fe with its simulated X-ray diffraction stick pattern. Radiation: Cu Kα, 1.54184 Å. Structure: DFT lattice parameters and positions (GGA-PBE).

Atomic structure:
abc: 3.938 4.133 8.319
angles: 90.00 90.00 90.00
Space group Cmmm (No. 65)
Symmetry-distinct sites (fractional):
Mg1 0.000 0.000 0.000 (multiplicity 2)
Ta1 0.000 0.500 0.298 (multiplicity 4)
Fe1 0.000 0.000 0.500 (multiplicity 2)

The 6 most intense peaks (2θ from 15° to 90°), in order of rising 2θ:
- hkl 0 0 2, 21.36 deg, intensity 33
- hkl 1 1 0, 31.38 deg, intensity 43
- hkl 1 1 2, 38.27 deg, intensity 100
- hkl 0 2 0, 43.80 deg, intensity 23
- hkl 1 1 3, 45.64 deg, intensity 42
- hkl 2 0 0, 46.10 deg, intensity 20


No. 8
This entry pairs a crystal structure of Tb4Mg5Fe2 with its simulated X-ray diffraction stick pattern. Radiation: Cu Kα, 1.54184 Å. Structure: DFT lattice parameters and positions (GGA-PBE).

Atomic structure:
abc: 7.907 3.671 9.452
angles: 90.00 95.70 90.00
Space group P2/m (No. 10)
Symmetry-distinct sites (fractional):
Tb1 0.173 0.000 0.330 (multiplicity 2)
Tb2 0.214 0.000 0.938 (multiplicity 2)
Mg1 0.165 0.500 0.638 (multiplicity 2)
Mg2 0.451 0.500 0.170 (multiplicity 2)
Mg3 0.500 0.500 0.500 (multiplicity 1)
Fe1 0.059 0.500 0.117 (multiplicity 2)

The 6 most intense peaks (2θ from 15° to 90°), in order of rising 2θ:
- hkl 1 0 -2, 21.02 deg, intensity 58
- hkl 1 1 -2, 32.30 deg, intensity 100
- hkl 2 1 0, 33.38 deg, intensity 94
- hkl 1 1 2, 33.65 deg, intensity 69
- hkl 2 1 -2, 37.44 deg, intensity 56
- hkl 0 1 3, 37.73 deg, intensity 56